# YMg6MnO8
Calculated PXRD pattern, copper Kα. Input: a DFT-relaxed cell (PBE+U, the Materials Project).
Kinematic intensities with the Lorentz-polarization factor, no thermal factor.

Atomic structure:
```
data_YMg6MnO8
_chemical_formula_sum 'Y1 Mg6 Mn1 O8'
_symmetry_space_group_name_H-M 'P 4/m m m'
_symmetry_Int_Tables_number 123
_symmetry_space_group_name_Hall '-P 4 2'
_cell_length_a 4.4418
_cell_length_b 4.4418
_cell_length_c 8.8958
_cell_angle_alpha 90.00
_cell_angle_beta 90.00
_cell_angle_gamma 90.00
loop_
_atom_site_label
_atom_site_fract_x
_atom_site_fract_y
_atom_site_fract_z
Y1 0.0000 0.0000 0.0000
Mg1 0.0000 0.0000 0.5000
Mg2 0.0000 0.5000 0.2657
Mg3 0.5000 0.5000 0.5000
Mn1 0.5000 0.5000 0.0000
O1 0.0000 0.0000 0.2616
O2 0.0000 0.5000 0.0000
O3 0.0000 0.5000 0.5000
O4 0.5000 0.5000 0.2642
```

Top 6 peaks for 2θ = 15–90°, in order of rising 2θ:
| 2theta | I/Imax | index |
| --- | --- | --- |
| 30.16 | 25.4 | 0 0 3 |
| 34.97 | 31.3 | 1 1 2 |
| 40.60 | 100.0 | 2 0 0 |
| 58.77 | 57.7 | 2 2 0 |
| 70.25 | 15.1 | 3 1 2 |
| 73.88 | 17.4 | 2 2 4 |